Diffraction record for Ba2FeMoO6. The powder diffraction line list is computed, not measured: it uses a DFT-relaxed cell (GGA+U, the Materials Project) and Cu Kα X-rays.
Neutral-atom scattering factors, no anomalous dispersion.

Most intense lines, 2θ = 15–90°, sorted by position:
2θ/deg, Rel. int.
30.85, 100
38.02, 10
44.19, 32
54.86, 39
64.27, 19
72.96, 11
81.30, 6
89.42, 16

Crystal structure
```
data_Ba2FeMoO6
_cell_length_a 5.801
_cell_length_b 5.801
_cell_length_c 10.040
_cell_angle_alpha 106.85
_cell_angle_beta 106.85
_cell_angle_gamma 59.96
_space_group_name_H-M_alt 'P 1'
_space_group_IT_number 1
_space_group_name_Hall 'P 1'
loop_
_atom_site_label
_atom_site_fract_x
_atom_site_fract_y
_atom_site_fract_z
Ba1 0.125 0.125 0.374
Ba2 0.379 0.370 0.125
Ba3 0.630 0.621 0.875
Ba4 0.875 0.875 0.626
Fe1 0.514 0.486 0.500
Fe2 0.994 0.006 0.000
Mo1 0.252 0.248 0.749
Mo2 0.752 0.748 0.251
O1 0.106 0.634 0.371
O2 0.134 0.115 0.876
O3 0.138 0.602 0.871
O4 0.366 0.894 0.629
O5 0.370 0.380 0.624
O6 0.398 0.862 0.129
O7 0.620 0.630 0.376
O8 0.622 0.125 0.373
O9 0.630 0.117 0.873
O10 0.875 0.378 0.627
O11 0.883 0.370 0.127
O12 0.885 0.866 0.124
```

Diffraction record for Ba2FeMoO6. The powder diffraction line list is computed, not measured: it uses a DFT-relaxed cell (GGA+U, the Materials Project) and Cu Kα X-rays.
Neutral-atom scattering factors, no anomalous dispersion.

Most intense lines, 2θ = 15–90°, sorted by position:
2θ/deg, Rel. int.
30.88, 100
38.05, 10
44.09, 11
44.30, 21
54.82, 13
54.96, 26
64.28, 13
73.17, 11

Crystal structure
```
data_Ba2FeMoO6
_cell_length_a 5.799
_cell_length_b 5.799
_cell_length_c 10.043
_cell_angle_alpha 107.00
_cell_angle_beta 107.00
_cell_angle_gamma 59.81
_space_group_name_H-M_alt 'P 1'
_space_group_IT_number 1
_space_group_name_Hall 'P 1'
loop_
_atom_site_label
_atom_site_fract_x
_atom_site_fract_y
_atom_site_fract_z
Ba1 0.125 0.125 0.374
Ba2 0.379 0.369 0.125
Ba3 0.631 0.621 0.875
Ba4 0.875 0.875 0.626
Fe1 0.513 0.487 0.500
Fe2 0.994 0.006 0.000
Mo1 0.252 0.248 0.749
Mo2 0.752 0.748 0.251
O1 0.109 0.634 0.371
O2 0.132 0.117 0.876
O3 0.137 0.604 0.871
O4 0.366 0.891 0.629
O5 0.372 0.379 0.625
O6 0.396 0.863 0.129
O7 0.621 0.628 0.375
O8 0.624 0.124 0.374
O9 0.630 0.118 0.874
O10 0.876 0.376 0.626
O11 0.882 0.370 0.126
O12 0.883 0.868 0.124
```

Diffraction record for Ba4Fe2MoWO12. The powder diffraction line list is computed, not measured: it uses a DFT-relaxed cell (GGA+U, the Materials Project) and Cu Kα X-rays.
Neutral-atom scattering factors, no anomalous dispersion.

Most intense lines, 2θ = 15–90°, sorted by position:
2θ/deg, Rel. int.
18.67, 8
30.71, 100
37.85, 5
43.99, 31
54.61, 39
63.97, 19
72.63, 17
88.93, 16

Crystal structure
```
data_Ba4Fe2MoWO12
_cell_length_a 10.075
_cell_length_b 10.075
_cell_length_c 10.075
_cell_angle_alpha 33.61
_cell_angle_beta 33.61
_cell_angle_gamma 33.61
_space_group_name_H-M_alt 'P 1'
_space_group_IT_number 1
_space_group_name_Hall 'P 1'
loop_
_atom_site_label
_atom_site_fract_x
_atom_site_fract_y
_atom_site_fract_z
Ba1 0.123 0.123 0.123
Ba2 0.374 0.374 0.374
Ba3 0.626 0.626 0.626
Ba4 0.877 0.877 0.877
Fe1 0.254 0.254 0.254
Fe2 0.746 0.746 0.746
Mo1 0.000 0.000 0.000
W1 0.500 0.500 0.500
O1 0.126 0.126 0.621
O2 0.126 0.621 0.126
O3 0.139 0.621 0.621
O4 0.379 0.379 0.861
O5 0.379 0.861 0.379
O6 0.379 0.874 0.874
O7 0.621 0.126 0.126
O8 0.621 0.139 0.621
O9 0.621 0.621 0.139
O10 0.861 0.379 0.379
O11 0.874 0.379 0.874
O12 0.874 0.874 0.379
```